Record 1
Structure and computed powder X-ray diffraction pattern of CuMoPb (the PBE geometry in Alexandria; copper Kα).

Crystal structure
```
data_CuMoPb
_symmetry_space_group_name_H-M 'I m m 2'
_symmetry_Int_Tables_number 44
_cell_length_a 2.9803
_cell_length_b 3.7022
_cell_length_c 9.8768
_cell_angle_alpha 90.00
_cell_angle_beta 90.00
_cell_angle_gamma 90.00
loop_
_symmetry_equiv_pos_as_xyz
'x,y,z'
'-x,-y,z'
'-x,y,z'
'x,-y,z'
'x+1/2,y+1/2,z+1/2'
'-x+1/2,-y+1/2,z+1/2'
'-x+1/2,y+1/2,z+1/2'
'x+1/2,-y+1/2,z+1/2'
loop_
_atom_site_label
_atom_site_fract_x
_atom_site_fract_y
_atom_site_fract_z
Cu1 0.0000 0.0000 0.0000
Mo1 0.0000 0.0000 0.6219
Pb1 0.0000 0.0000 0.3182
```

The 8 most intense peaks (2θ = 10–80°), in order of rising 2θ:
index	d [Å]	two_theta	I (rel.)
0 1 1	3.467	25.70	41
1 0 1	2.853	31.35	25
0 1 3	2.460	36.52	100
1 1 0	2.322	38.79	93
1 0 3	2.209	40.84	73
1 1 4	1.691	54.23	25
1 2 3	1.419	65.82	35
2 1 3	1.275	74.41	38

Record 2
Structure and computed powder X-ray diffraction pattern of Cu2Mo2Pt3 (the PBE geometry in Alexandria; copper Kα).

Crystal structure
```
data_Cu2Mo2Pt3
_symmetry_space_group_name_H-M 'C m m m'
_symmetry_Int_Tables_number 65
_symmetry_space_group_name_Hall '-C 2 2'
_cell_length_a 4.2340
_cell_length_b 18.3360
_cell_length_c 2.7126
_cell_angle_alpha 90.00
_cell_angle_beta 90.00
_cell_angle_gamma 90.00
loop_
_atom_site_label
_atom_site_fract_x
_atom_site_fract_y
_atom_site_fract_z
Cu1 0.0000 0.0678 0.0000
Mo1 0.0000 0.2105 0.0000
Pt1 0.0000 0.3519 0.5000
Pt2 0.0000 0.5000 0.5000
```

The 8 most intense peaks (2θ = 10–80°), in order of rising 2θ:
index	d [Å]	two_theta	I (rel.)
1 1 0	4.125	21.54	37
0 6 0	3.056	29.22	18
1 1 1	2.267	39.77	93
1 7 0	2.228	40.50	100
2 0 0	2.117	42.71	44
0 6 1	2.029	44.67	36
0 8 1	1.751	52.25	18
2 6 1	1.465	63.51	25

Record 3
Structure and computed powder X-ray diffraction pattern of CuMo6S8 (the PBE geometry in Alexandria; copper Kα).

Crystal structure
```
data_CuMo6S8
_symmetry_space_group_name_H-M 'P 1'
_symmetry_Int_Tables_number 1
_cell_length_a 6.4949
_cell_length_b 6.4975
_cell_length_c 13.0309
_cell_angle_alpha 94.26
_cell_angle_beta 95.06
_cell_angle_gamma 93.81
loop_
_symmetry_equiv_pos_as_xyz
'x,y,z'
loop_
_atom_site_label
_atom_site_fract_x
_atom_site_fract_y
_atom_site_fract_z
Cu1 0.0000 0.0000 0.0000
Cu2 0.1928 0.7755 0.5167
Mo1 0.2599 0.4162 0.2440
Mo2 0.2715 0.3959 0.7444
Mo3 0.4519 0.0851 0.3137
Mo4 0.4610 0.0673 0.8145
Mo5 0.5071 0.4634 0.4360
Mo6 0.5114 0.4540 0.9371
Mo7 0.5881 0.2699 0.1509
Mo8 0.5995 0.2591 0.6503
Mo9 0.6464 0.6518 0.2727
Mo10 0.6478 0.6423 0.7709
Mo11 0.8372 0.3129 0.8412
Mo12 0.8367 0.3218 0.3415
S1 0.1875 0.2519 0.4029
S2 0.1931 0.2321 0.9053
S3 0.2443 0.0813 0.1426
S4 0.2668 0.0530 0.6426
S5 0.3202 0.7385 0.3515
S6 0.3297 0.7175 0.8514
S7 0.4278 0.5810 0.6115
S8 0.4289 0.5911 0.1106
S9 0.6696 0.1293 0.9790
S10 0.6717 0.1428 0.4737
S11 0.7703 0.9996 0.2352
S12 0.7780 0.9918 0.7332
S13 0.8482 0.6597 0.9397
S14 0.8537 0.6569 0.4427
S15 0.9081 0.4847 0.1820
S16 0.9180 0.4761 0.6830
```

The 8 most intense peaks (2θ = 10–80°), in order of rising 2θ:
index	d [Å]	two_theta	I (rel.)
1 0 0	6.461	13.71	100
1 1 2	3.456	25.78	14
2 1 -2	2.689	33.32	13
-1 2 2	2.674	33.52	12
1 -1 4	2.660	33.69	11
1 3 -2	1.970	46.08	28
3 -1 2	1.950	46.58	15
-2 3 2	1.775	51.49	13

Record 4
Structure and computed powder X-ray diffraction pattern of Cu4Mo2Se (the PBE geometry in Alexandria; copper Kα).

Crystal structure
```
data_Cu4Mo2Se
_symmetry_space_group_name_H-M 'I 4/m m m'
_symmetry_Int_Tables_number 139
_symmetry_space_group_name_Hall '-I 4 2'
_cell_length_a 4.6856
_cell_length_b 4.6856
_cell_length_c 12.1313
_cell_angle_alpha 90.00
_cell_angle_beta 90.00
_cell_angle_gamma 90.00
loop_
_atom_site_label
_atom_site_fract_x
_atom_site_fract_y
_atom_site_fract_z
Cu1 0.0000 0.0000 0.1942
Cu2 0.0000 0.5000 0.0000
Mo1 0.0000 0.0000 0.4038
Se1 0.0000 0.0000 0.0000
```

The 8 most intense peaks (2θ = 10–80°), in order of rising 2θ:
index	d [Å]	two_theta	I (rel.)
0 0 2	6.066	14.60	61
1 1 0	3.313	26.91	65
2 0 0	2.343	38.42	100
1 1 4	2.237	40.32	19
2 0 2	2.185	41.31	18
1 0 5	2.155	41.93	85
2 2 0	1.657	55.47	33
2 1 5	1.586	58.17	62

Record 5
Structure and computed powder X-ray diffraction pattern of TaCuMo2 (the PBE geometry in Alexandria; copper Kα).

Crystal structure
```
data_TaCuMo2
_symmetry_space_group_name_H-M 'C m m 2'
_symmetry_Int_Tables_number 35
_cell_length_a 3.2518
_cell_length_b 4.3969
_cell_length_c 8.7608
_cell_angle_alpha 90.00
_cell_angle_beta 90.00
_cell_angle_gamma 90.00
loop_
_symmetry_equiv_pos_as_xyz
'x,y,z'
'-x,-y,z'
'-x,y,z'
'x,-y,z'
'x+1/2,y+1/2,z'
'-x+1/2,-y+1/2,z'
'-x+1/2,y+1/2,z'
'x+1/2,-y+1/2,z'
loop_
_atom_site_label
_atom_site_fract_x
_atom_site_fract_y
_atom_site_fract_z
Ta1 0.0000 0.0000 0.0000
Cu1 0.0000 0.5000 0.2459
Mo1 0.0000 0.0000 0.4862
Mo2 0.0000 0.5000 0.7367
```

The 8 most intense peaks (2θ = 10–80°), in order of rising 2θ:
index	d [Å]	two_theta	I (rel.)
0 0 1	8.761	10.10	18
1 1 2	2.245	40.17	100
0 2 0	2.198	41.06	24
0 0 4	2.190	41.22	23
2 0 0	1.626	56.61	9
0 2 4	1.552	59.58	15
1 3 2	1.278	74.20	16
1 1 6	1.275	74.42	15

Record 6
Structure and computed powder X-ray diffraction pattern of TaCuMo (the PBE geometry in Alexandria; copper Kα).

Crystal structure
```
data_TaCuMo
_symmetry_space_group_name_H-M 'I 4 m m'
_symmetry_Int_Tables_number 107
_symmetry_space_group_name_Hall 'I 4 -2'
_cell_length_a 2.7086
_cell_length_b 2.7086
_cell_length_c 12.6452
_cell_angle_alpha 90.00
_cell_angle_beta 90.00
_cell_angle_gamma 90.00
loop_
_atom_site_label
_atom_site_fract_x
_atom_site_fract_y
_atom_site_fract_z
Ta1 0.0000 0.0000 0.0000
Cu1 0.0000 0.0000 0.3402
Mo1 0.0000 0.0000 0.6856
```

The 8 most intense peaks (2θ = 10–80°), in order of rising 2θ:
index	d [Å]	two_theta	I (rel.)
0 0 2	6.323	14.01	17
0 0 4	3.161	28.23	10
1 0 1	2.648	33.85	15
1 0 3	2.279	39.55	100
0 0 6	2.108	42.91	18
1 1 0	1.915	47.47	30
1 1 6	1.417	65.90	20
1 0 9	1.247	76.36	12

Record 7
Structure and computed powder X-ray diffraction pattern of Th2CuMo (the PBE geometry in Alexandria; copper Kα).

Crystal structure
```
data_Th2CuMo
_symmetry_space_group_name_H-M 'P 4/m m m'
_symmetry_Int_Tables_number 123
_symmetry_space_group_name_Hall '-P 4 2'
_cell_length_a 5.0616
_cell_length_b 5.0616
_cell_length_c 3.6309
_cell_angle_alpha 90.00
_cell_angle_beta 90.00
_cell_angle_gamma 90.00
loop_
_atom_site_label
_atom_site_fract_x
_atom_site_fract_y
_atom_site_fract_z
Th1 0.0000 0.5000 0.0000
Cu1 0.0000 0.0000 0.5000
Mo1 0.5000 0.5000 0.5000
```

The 8 most intense peaks (2θ = 10–80°), in order of rising 2θ:
index	d [Å]	two_theta	I (rel.)
0 0 1	3.631	24.52	13
1 1 0	3.579	24.88	24
1 1 1	2.549	35.21	100
2 0 0	2.531	35.47	49
2 0 1	2.076	43.59	12
2 2 0	1.790	51.04	18
2 0 2	1.475	63.01	19
3 1 1	1.465	63.52	36

Record 8
Structure and computed powder X-ray diffraction pattern of Ti5Cu2Mo (the PBE geometry in Alexandria; copper Kα).

Crystal structure
```
data_Ti5Cu2Mo
_symmetry_space_group_name_H-M 'I 4/m m m'
_symmetry_Int_Tables_number 139
_symmetry_space_group_name_Hall '-I 4 2'
_cell_length_a 4.5008
_cell_length_b 4.5008
_cell_length_c 12.2690
_cell_angle_alpha 90.00
_cell_angle_beta 90.00
_cell_angle_gamma 90.00
loop_
_atom_site_label
_atom_site_fract_x
_atom_site_fract_y
_atom_site_fract_z
Ti1 0.0000 0.0000 0.0000
Ti2 0.0000 0.5000 0.1248
Cu1 0.0000 0.0000 0.2480
Mo1 0.0000 0.0000 0.5000
```

The 8 most intense peaks (2θ = 10–80°), in order of rising 2θ:
index	d [Å]	two_theta	I (rel.)
1 0 1	4.225	21.02	6
1 1 0	3.183	28.04	5
2 0 0	2.250	40.07	53
1 1 4	2.209	40.86	100
2 2 0	1.591	57.96	16
0 0 8	1.534	60.35	7
3 1 4	1.291	73.33	31
2 0 8	1.267	74.93	15